For Ho4Te5O, a cell relaxed with GGA-PBE gives the simulated powder XRD pattern in this record (Cu Kα (λ = 1.5418 Å)).
Kinematic intensities with the Lorentz-polarization factor, no thermal factor.

Structure:
```
Ho4Te5O
1.0
8.288 -2.214 0.000
8.288 2.214 0.000
-3.197 0.000 10.549
Ho Te O
4 5 1
Direct
0.003 0.003 0.312 Ho
0.373 0.373 0.939 Ho
0.627 0.627 0.061 Ho
0.997 0.997 0.688 Ho
0.159 0.159 0.877 Te
0.164 0.164 0.269 Te
0.500 0.500 0.500 Te
0.836 0.836 0.731 Te
0.841 0.841 0.123 Te
0.500 0.500 0.000 O
```

Largest 10 diffraction maxima, by angle, 15° ≤ 2θ ≤ 90°:
2θ 15.81, rel. 32.5
2θ 21.53, rel. 32.3
2θ 25.82, rel. 100.0
2θ 26.20, rel. 13.7
2θ 33.91, rel. 22.9
2θ 34.29, rel. 28.5
2θ 38.10, rel. 36.1
2θ 40.21, rel. 18.2
2θ 40.76, rel. 21.4
2θ 42.49, rel. 13.2

---

For Ho2Te2O, a cell relaxed with GGA-PBE gives the simulated powder XRD pattern in this record (Cu Kα (λ = 1.5418 Å)).
Kinematic intensities with the Lorentz-polarization factor, no thermal factor.

Structure:
```
Ho2Te2O
1.0
6.715 -1.969 0.000
6.715 1.969 0.000
-6.332 0.000 9.366
Ho Te O
4 4 2
Direct
0.031 0.031 0.174 Ho
0.187 0.187 0.571 Ho
0.813 0.813 0.429 Ho
0.969 0.969 0.826 Ho
0.336 0.336 0.910 Te
0.471 0.471 0.332 Te
0.529 0.529 0.668 Te
0.664 0.664 0.090 Te
0.213 0.213 0.388 O
0.787 0.787 0.612 O
```

Largest 10 diffraction maxima, by angle, 15° ≤ 2θ ≤ 90°:
2θ 30.49, rel. 100.0
2θ 31.10, rel. 47.9
2θ 33.49, rel. 31.5
2θ 33.89, rel. 91.1
2θ 46.09, rel. 21.0
2θ 52.71, rel. 13.4
2θ 53.16, rel. 13.6
2θ 56.65, rel. 17.6
2θ 58.16, rel. 14.3
2θ 59.26, rel. 14.4

---

For HoTlTeO6, a cell relaxed with GGA-PBE gives the simulated powder XRD pattern in this record (Cu Kα (λ = 1.5418 Å)).
Kinematic intensities with the Lorentz-polarization factor, no thermal factor.

Structure:
```
HoTlTeO6
1.0
5.009 0.000 0.000
0.000 5.009 0.000
0.000 0.000 10.026
Ho Tl Te O
2 2 2 12
Direct
0.000 0.000 0.000 Ho
0.500 0.500 0.500 Ho
0.000 0.000 0.672 Tl
0.500 0.500 0.172 Tl
0.000 0.000 0.337 Te
0.500 0.500 0.837 Te
0.180 0.180 0.188 O
0.185 0.185 0.482 O
0.223 0.223 0.841 O
0.277 0.723 0.341 O
0.315 0.685 0.982 O
0.320 0.680 0.688 O
0.680 0.320 0.688 O
0.685 0.315 0.982 O
0.723 0.277 0.341 O
0.777 0.777 0.841 O
0.815 0.815 0.482 O
0.820 0.820 0.188 O
```

Largest 10 diffraction maxima, by angle, 15° ≤ 2θ ≤ 90°:
2θ 25.14, rel. 100.0
2θ 32.20, rel. 87.9
2θ 35.85, rel. 28.0
2θ 48.95, rel. 68.4
2θ 51.61, rel. 17.2
2θ 58.24, rel. 17.1
2θ 61.34, rel. 16.9
2θ 62.14, rel. 19.6
2θ 73.87, rel. 15.9
2θ 84.93, rel. 13.3

---

For Ho3TlTe4O12, a cell relaxed with GGA-PBE gives the simulated powder XRD pattern in this record (Cu Kα (λ = 1.5418 Å)).
Kinematic intensities with the Lorentz-polarization factor, no thermal factor.

Structure:
```
Ho3TlTe4O12
1.0
5.776 3.335 3.069
-5.776 3.335 3.069
0.000 -6.670 3.069
Ho Tl Te O
3 1 4 12
Direct
0.000 0.575 0.425 Ho
0.425 0.000 0.575 Ho
0.575 0.425 0.000 Ho
0.000 0.000 0.000 Tl
0.092 0.500 0.908 Te
0.500 0.500 0.500 Te
0.500 0.908 0.092 Te
0.908 0.092 0.500 Te
0.063 0.290 0.400 O
0.075 0.925 0.500 O
0.290 0.400 0.063 O
0.323 0.677 0.500 O
0.400 0.063 0.290 O
0.500 0.075 0.925 O
0.500 0.323 0.677 O
0.600 0.710 0.937 O
0.677 0.500 0.323 O
0.710 0.937 0.600 O
0.925 0.500 0.075 O
0.937 0.600 0.710 O
```

Largest 10 diffraction maxima, by angle, 15° ≤ 2θ ≤ 90°:
2θ 25.47, rel. 38.0
2θ 26.31, rel. 100.0
2θ 26.73, rel. 33.0
2θ 33.05, rel. 29.2
2θ 33.74, rel. 41.8
2θ 43.27, rel. 25.7
2θ 44.09, rel. 28.8
2θ 49.68, rel. 24.6
2θ 57.53, rel. 25.2
2θ 88.17, rel. 16.5

---

For Ho4Ti6O19, a cell relaxed with GGA-PBE gives the simulated powder XRD pattern in this record (Cu Kα (λ = 1.5418 Å)).
Kinematic intensities with the Lorentz-polarization factor, no thermal factor.

Structure:
```
Ho4Ti6O19
1.0
-4.487 4.487 4.487
4.487 -4.487 4.487
4.487 4.487 -4.487
Ho Ti O
4 6 19
Direct
0.000 0.000 0.296 Ho
0.000 0.296 0.000 Ho
0.296 0.000 0.000 Ho
0.704 0.704 0.704 Ho
0.161 0.500 0.661 Ti
0.339 0.839 0.500 Ti
0.500 0.339 0.839 Ti
0.500 0.661 0.161 Ti
0.661 0.161 0.500 Ti
0.839 0.500 0.339 Ti
0.000 0.000 0.000 O
0.000 0.351 0.351 O
0.000 0.649 0.649 O
0.037 0.753 0.362 O
0.247 0.283 0.609 O
0.283 0.609 0.247 O
0.325 0.717 0.963 O
0.351 0.000 0.351 O
0.351 0.351 0.000 O
0.362 0.037 0.753 O
0.391 0.675 0.638 O
0.609 0.247 0.283 O
0.638 0.391 0.675 O
0.649 0.000 0.649 O
0.649 0.649 0.000 O
0.675 0.638 0.391 O
0.717 0.963 0.325 O
0.753 0.362 0.037 O
0.963 0.325 0.717 O
```

Largest 10 diffraction maxima, by angle, 15° ≤ 2θ ≤ 90°:
2θ 24.29, rel. 100.0
2θ 31.53, rel. 51.8
2θ 34.63, rel. 29.5
2θ 37.50, rel. 18.8
2θ 42.75, rel. 41.1
2θ 49.78, rel. 13.2
2θ 51.96, rel. 26.5
2θ 56.14, rel. 35.2
2θ 62.05, rel. 14.5
2θ 78.29, rel. 14.4

---

For HoTiO3, a cell relaxed with GGA-PBE gives the simulated powder XRD pattern in this record (Cu Kα (λ = 1.5418 Å)).
Kinematic intensities with the Lorentz-polarization factor, no thermal factor.

Structure:
```
HoTiO3
1.0
5.700 0.000 0.000
0.000 7.668 0.000
0.000 0.000 5.317
Ho Ti O
4 4 12
Direct
0.073 0.250 0.023 Ho
0.427 0.750 0.523 Ho
0.573 0.250 0.477 Ho
0.927 0.750 0.977 Ho
0.000 0.000 0.500 Ti
0.000 0.500 0.500 Ti
0.500 0.000 0.000 Ti
0.500 0.500 0.000 Ti
0.048 0.750 0.375 O
0.197 0.560 0.811 O
0.197 0.940 0.811 O
0.303 0.060 0.311 O
0.303 0.440 0.311 O
0.452 0.250 0.875 O
0.548 0.750 0.125 O
0.697 0.560 0.689 O
0.697 0.940 0.689 O
0.803 0.060 0.189 O
0.803 0.440 0.189 O
0.952 0.250 0.625 O
```

Largest 10 diffraction maxima, by angle, 15° ≤ 2θ ≤ 90°:
2θ 22.87, rel. 30.0
2θ 23.20, rel. 20.9
2θ 25.69, rel. 29.1
2θ 31.39, rel. 16.1
2θ 32.81, rel. 100.0
2θ 33.55, rel. 18.5
2θ 33.71, rel. 23.7
2θ 48.30, rel. 17.7
2θ 52.52, rel. 23.7
2θ 59.73, rel. 28.2

---

For HoTi2ZnO6, a cell relaxed with GGA-PBE gives the simulated powder XRD pattern in this record (Cu Kα (λ = 1.5418 Å)).
Kinematic intensities with the Lorentz-polarization factor, no thermal factor.

Structure:
```
HoTi2ZnO6
1.0
7.627 0.000 0.000
0.000 5.618 0.000
0.000 0.000 5.290
Ho Ti Zn O
2 4 2 12
Direct
0.000 0.170 0.000 Ho
0.500 0.830 0.500 Ho
0.249 0.281 0.486 Ti
0.251 0.719 0.986 Ti
0.749 0.719 0.986 Ti
0.751 0.281 0.486 Ti
0.000 0.819 0.494 Zn
0.500 0.181 0.994 Zn
0.000 0.266 0.585 O
0.000 0.781 0.858 O
0.193 0.436 0.161 O
0.194 0.946 0.280 O
0.306 0.054 0.780 O
0.307 0.564 0.661 O
0.500 0.219 0.358 O
0.500 0.734 0.085 O
0.693 0.564 0.661 O
0.694 0.054 0.780 O
0.806 0.946 0.280 O
0.807 0.436 0.161 O
```

Largest 10 diffraction maxima, by angle, 15° ≤ 2θ ≤ 90°:
2θ 15.78, rel. 17.5
2θ 20.43, rel. 18.5
2θ 28.29, rel. 16.9
2θ 33.06, rel. 100.0
2θ 33.89, rel. 26.5
2θ 36.21, rel. 26.3
2θ 43.52, rel. 17.8
2θ 47.20, rel. 16.4
2θ 47.70, rel. 16.4
2θ 60.11, rel. 24.6

---

For Ho2TlO, a cell relaxed with GGA-PBE gives the simulated powder XRD pattern in this record (Cu Kα (λ = 1.5418 Å)).
Kinematic intensities with the Lorentz-polarization factor, no thermal factor.

Structure:
```
Ho2TlO
1.0
3.607 0.000 0.000
0.000 6.348 0.000
-0.005 0.000 8.174
Ho Tl O
4 2 2
Direct
0.248 0.000 0.119 Ho
0.251 0.742 0.540 Ho
0.749 0.242 0.460 Ho
0.752 0.500 0.881 Ho
0.254 0.508 0.198 Tl
0.746 0.008 0.802 Tl
0.248 0.036 0.389 O
0.752 0.536 0.611 O
```

Largest 10 diffraction maxima, by angle, 15° ≤ 2θ ≤ 90°:
2θ 27.02, rel. 80.7
2θ 30.21, rel. 89.9
2θ 30.53, rel. 41.2
2θ 32.87, rel. 47.9
2θ 33.12, rel. 78.5
2θ 35.84, rel. 85.4
2θ 36.10, rel. 46.9
2θ 39.39, rel. 100.0
2θ 44.00, rel. 35.9
2θ 63.56, rel. 32.5